Structure and computed X-ray diffraction stick pattern of AlSb2Rh (the PBE geometry in Alexandria; Cu Kα, 1.54184 Å).
Neutral-atom scattering factors, no anomalous dispersion.

Cell: 4.215 4.215 6.478 Å, 108.86 108.86 60.01°
Fractional coordinates of all 4 atoms:
Al1 0.000 0.000 0.000
Sb1 0.242 0.242 0.725
Sb2 0.426 0.426 0.276
Rh1 0.667 0.667 0.001

Most intense lines, 10° ≤ 2θ ≤ 90°, in order of rising 2θ:
| d_spacing | two_theta | intensity |
| --- | --- | --- |
| 6.010 | 14.74 | 27 |
| 3.578 | 24.89 | 57 |
| 2.837 | 31.54 | 78 |
| 2.565 | 34.98 | 97 |
| 2.107 | 42.92 | 100 |
| 1.692 | 54.22 | 16 |

---

Structure and computed X-ray diffraction stick pattern of NaB5H (the PBE geometry in Alexandria; Cu Kα, 1.54184 Å).
Neutral-atom scattering factors, no anomalous dispersion.

Cell: 5.905 5.905 4.140 Å, 90.06 90.06 47.87°
Fractional coordinates of all 14 atoms:
Na1 0.150 0.850 0.750
Na2 0.850 0.150 0.250
B1 0.099 0.587 0.250
B2 0.245 0.246 0.500
B3 0.246 0.245 0.000
B4 0.333 0.667 0.250
B5 0.413 0.901 0.250
B6 0.587 0.099 0.750
B7 0.667 0.333 0.750
B8 0.754 0.755 0.000
B9 0.755 0.754 0.500
B10 0.901 0.413 0.750
H1 0.500 0.500 0.000
H2 0.500 0.500 0.500

Most intense lines, 10° ≤ 2θ ≤ 90°, in order of rising 2θ:
| d_spacing | two_theta | intensity |
| --- | --- | --- |
| 2.699 | 33.20 | 71 |
| 2.363 | 38.09 | 100 |
| 2.072 | 43.68 | 58 |
| 1.935 | 46.96 | 81 |
| 1.644 | 55.92 | 31 |
| 1.359 | 69.13 | 31 |

---

Structure and computed X-ray diffraction stick pattern of Li2Mn4Cl9 (the PBE geometry in Alexandria; Cu Kα, 1.54184 Å).
Neutral-atom scattering factors, no anomalous dispersion.

Cell: 6.400 6.406 17.545 Å, 90.24 90.20 119.90°
Fractional coordinates of all 30 atoms:
Li1 0.003 0.003 0.156
Li2 0.004 0.010 0.341
Li3 0.996 0.990 0.659
Li4 0.997 0.997 0.844
Mn1 0.316 0.658 0.513
Mn2 0.330 0.663 0.828
Mn3 0.333 0.667 0.003
Mn4 0.340 0.674 0.316
Mn5 0.660 0.326 0.684
Mn6 0.667 0.333 0.997
Mn7 0.670 0.337 0.172
Mn8 0.684 0.342 0.487
Cl1 0.003 0.323 0.251
Cl2 0.008 0.346 0.916
Cl3 0.024 0.670 0.415
Cl4 0.313 0.314 0.749
Cl5 0.325 0.008 0.251
Cl6 0.336 0.989 0.917
Cl7 0.341 0.364 0.417
Cl8 0.348 0.339 0.083
Cl9 0.352 0.016 0.582
Cl10 0.648 0.984 0.418
Cl11 0.652 0.661 0.917
Cl12 0.659 0.636 0.583
Cl13 0.664 0.011 0.083
Cl14 0.675 0.992 0.749
Cl15 0.687 0.686 0.251
Cl16 0.976 0.330 0.585
Cl17 0.992 0.654 0.084
Cl18 0.997 0.677 0.749

Most intense lines, 10° ≤ 2θ ≤ 90°, in order of rising 2θ:
| d_spacing | two_theta | intensity |
| --- | --- | --- |
| 5.548 | 15.98 | 80 |
| 2.817 | 31.76 | 67 |
| 2.806 | 31.89 | 100 |
| 2.163 | 41.76 | 53 |
| 2.154 | 41.94 | 81 |
| 1.848 | 49.30 | 66 |

---

Structure and computed X-ray diffraction stick pattern of KNa2BiOs (the PBE geometry in Alexandria; Cu Kα, 1.54184 Å).
Neutral-atom scattering factors, no anomalous dispersion.

Cell: 5.078 5.078 5.960 Å, 90.00 90.00 90.00°
Fractional coordinates of all 5 atoms:
K1 0.000 0.000 0.000
Na1 0.000 0.500 0.000
Na2 0.500 0.000 0.000
Bi1 0.000 0.000 0.500
Os1 0.500 0.500 0.500

Most intense lines, 10° ≤ 2θ ≤ 90°, in order of rising 2θ:
| d_spacing | two_theta | intensity |
| --- | --- | --- |
| 5.960 | 14.86 | 66 |
| 3.591 | 24.80 | 68 |
| 3.076 | 29.03 | 100 |
| 2.539 | 35.35 | 44 |
| 2.293 | 39.29 | 42 |
| 1.933 | 47.02 | 39 |

---

Structure and computed X-ray diffraction stick pattern of Zr3Al3C (the PBE geometry in Alexandria; Cu Kα, 1.54184 Å).
Neutral-atom scattering factors, no anomalous dispersion.

Cell: 8.798 8.798 8.798 Å, 60.00 60.00 60.00°
Fractional coordinates of all 28 atoms:
Zr1 0.060 0.060 0.690
Zr2 0.060 0.690 0.060
Zr3 0.060 0.690 0.690
Zr4 0.310 0.310 0.940
Zr5 0.310 0.940 0.310
Zr6 0.310 0.940 0.940
Zr7 0.690 0.060 0.060
Zr8 0.690 0.060 0.690
Zr9 0.690 0.690 0.060
Zr10 0.940 0.310 0.310
Zr11 0.940 0.310 0.940
Zr12 0.940 0.940 0.310
Al1 0.000 0.500 0.500
Al2 0.290 0.290 0.290
Al3 0.290 0.290 0.629
Al4 0.290 0.629 0.290
Al5 0.371 0.710 0.710
Al6 0.500 0.000 0.500
Al7 0.500 0.500 0.000
Al8 0.500 0.500 0.500
Al9 0.629 0.290 0.290
Al10 0.710 0.371 0.710
Al11 0.710 0.710 0.371
Al12 0.710 0.710 0.710
C1 0.000 0.000 0.000
C2 0.000 0.000 0.500
C3 0.000 0.500 0.000
C4 0.500 0.000 0.000

Most intense lines, 10° ≤ 2θ ≤ 90°, in order of rising 2θ:
| d_spacing | two_theta | intensity |
| --- | --- | --- |
| 7.184 | 12.32 | 35 |
| 2.854 | 31.34 | 33 |
| 2.540 | 35.34 | 62 |
| 2.395 | 37.56 | 100 |
| 1.466 | 63.44 | 51 |
| 1.251 | 76.12 | 18 |